This entry pairs a crystal structure of Mg3BO6 with its calculated X-ray powder pattern. Radiation: a wavelength of 1.5418 Å. Structure: a GGA-PBE-relaxed structure.
Kinematic intensities with the Lorentz-polarization factor, no thermal factor.

The 12 most intense peaks (2θ = 5–70°), in order of falling intensity:
11.23 deg, d = 7.881 Å, I = 100; 36.12 deg, d = 2.487 Å, I = 98; 34.16 deg, d = 2.625 Å, I = 81; 19.51 deg, d = 4.550 Å, I = 62; 41.33 deg, d = 2.184 Å, I = 54; 61.15 deg, d = 1.516 Å, I = 51; 49.10 deg, d = 1.855 Å, I = 35; 50.52 deg, d = 1.807 Å, I = 34; 57.49 deg, d = 1.603 Å, I = 27; 30.05 deg, d = 2.973 Å, I = 22; 58.61 deg, d = 1.575 Å, I = 19; 66.02 deg, d = 1.415 Å, I = 18

Atomic structure:
a = 9.100 Å, b = 9.100 Å, c = 3.206 Å
α = 90.00°, β = 90.00°, γ = 120.00°
Fractional positions:
Mg 0.033 0.664 0.250
Mg 0.336 0.369 0.250
Mg 0.369 0.033 0.750
Mg 0.631 0.967 0.250
Mg 0.664 0.631 0.750
Mg 0.967 0.336 0.750
B 0.333 0.667 0.750
B 0.667 0.333 0.250
O 0.094 0.316 0.250
O 0.157 0.596 0.750
O 0.222 0.906 0.250
O 0.316 0.222 0.750
O 0.404 0.561 0.750
O 0.439 0.843 0.750
O 0.561 0.157 0.250
O 0.596 0.439 0.250
O 0.684 0.778 0.250
O 0.778 0.094 0.750
O 0.843 0.404 0.250
O 0.906 0.684 0.750